1.
Starting from DFT lattice parameters and positions (GGA-PBE), the XRD peak list of ZnHCO4 was computed for Cu Ka.
No peak broadening, texture or thermal motion is included.

Main lines, low angle first (2θ = 15–90°):
2θ 16.4, I 297
2θ 18.9, I 1000
2θ 33.1, I 161
2θ 33.9, I 363
2θ 43.8, I 249
2θ 48.1, I 195
2θ 51.5, I 177
2θ 59.6, I 224

Atomic structure:
Lattice parameters (Å, degrees): 10.836 10.836 6.398 90.00 90.00 120.00
Positions (direct):
Zn: 0.000 0.500 0.000
Zn: 0.000 0.500 0.500
Zn: 0.500 0.000 0.000
Zn: 0.500 0.000 0.500
Zn: 0.500 0.500 0.000
Zn: 0.500 0.500 0.500
H: 0.186 0.632 0.250
H: 0.368 0.554 0.250
H: 0.446 0.814 0.250
H: 0.554 0.186 0.750
H: 0.632 0.446 0.750
H: 0.814 0.368 0.750
C: 0.204 0.769 0.750
C: 0.231 0.434 0.750
C: 0.434 0.204 0.250
C: 0.566 0.796 0.750
C: 0.769 0.566 0.250
C: 0.796 0.231 0.250
O: 0.113 0.436 0.750
O: 0.118 0.529 0.250
O: 0.146 0.713 0.575
O: 0.146 0.713 0.925
O: 0.287 0.433 0.575
O: 0.287 0.433 0.925
O: 0.323 0.887 0.750
O: 0.411 0.882 0.250
O: 0.433 0.146 0.075
O: 0.433 0.146 0.425
O: 0.436 0.323 0.250
O: 0.471 0.589 0.250
O: 0.529 0.411 0.750
O: 0.564 0.677 0.750
O: 0.567 0.854 0.575
O: 0.567 0.854 0.925
O: 0.589 0.118 0.750
O: 0.677 0.113 0.250
O: 0.713 0.567 0.075
O: 0.713 0.567 0.425
O: 0.854 0.287 0.075
O: 0.854 0.287 0.425
O: 0.882 0.471 0.750
O: 0.887 0.564 0.250

***

2.
Starting from DFT lattice parameters and positions (GGA-PBE), the XRD peak list of ZnH4C2O6 was computed for Cu Ka.
No peak broadening, texture or thermal motion is included.

Main lines, low angle first (2θ = 15–90°):
2θ 18.3, I 1000
2θ 18.5, I 463
2θ 18.7, I 941
2θ 22.9, I 330
2θ 24.8, I 432
2θ 29.2, I 797
2θ 33.8, I 422
2θ 34.5, I 258

Atomic structure:
Lattice parameters (Å, degrees): 6.708 6.708 9.781 123.67 123.67 48.53
Positions (direct):
Zn: 0.073 0.927 0.750
Zn: 0.927 0.073 0.250
H: 0.007 0.305 0.143
H: 0.145 0.373 0.349
H: 0.305 0.007 0.643
H: 0.373 0.145 0.849
H: 0.627 0.855 0.151
H: 0.695 0.993 0.357
H: 0.855 0.627 0.651
H: 0.993 0.695 0.857
C: 0.375 0.523 0.150
C: 0.477 0.625 0.350
C: 0.523 0.375 0.650
C: 0.625 0.477 0.850
O: 0.108 0.233 0.241
O: 0.133 0.691 0.075
O: 0.233 0.108 0.741
O: 0.280 0.539 0.574
O: 0.309 0.867 0.425
O: 0.461 0.720 0.926
O: 0.539 0.280 0.074
O: 0.691 0.133 0.575
O: 0.720 0.461 0.426
O: 0.767 0.892 0.259
O: 0.867 0.309 0.925
O: 0.892 0.767 0.759